Starting from a structure optimized by DFT (GGA-PBE), the powder diffractogram of Ac2PuRh was simulated for Cu Kα (λ = 1.5418 Å).
Peak positions follow from Bragg's law for the DFT cell and can differ from measured ones.

Structural model:
```
Ac2PuRh
1.0
3.7572 0.0000 0.0000
0.0000 3.7572 0.0000
0.0000 0.0000 8.9143
Ac Pu Rh
2 1 1
Cartesian
0.0000 0.0000 1.7766
0.0000 0.0000 7.1377
1.8786 1.8786 4.4572
1.8786 1.8786 0.0000
```

Main lines, low angle first (5 to 70 degrees two-theta):
h k l  two_theta  d_spacing  I/Imax
1 0 1  25.73  3.462  23
0 0 3  30.07  2.971  13
1 0 2  31.13  2.873  100
1 1 0  33.74  2.657  51
1 1 3  45.82  1.981  18
2 0 0  48.46  1.879  19
1 0 5  57.19  1.611  13
2 1 2  58.72  1.572  34

Starting from a structure optimized by DFT (GGA-PBE), the powder diffractogram of CaBi2C was simulated for Cu Kα (λ = 1.5418 Å).
Peak positions follow from Bragg's law for the DFT cell and can differ from measured ones.

Structural model:
```
CaBi2C
1.0
4.3652 0.0000 0.0000
-0.0886 6.7638 0.0000
-0.5677 -2.2851 7.9320
Ca Bi C
2 4 2
Cartesian
0.0000 0.0000 0.0000
0.0838 -1.0927 4.6877
-0.2448 1.1826 7.2540
2.2475 -0.0740 2.4520
2.0903 2.0274 4.8114
2.4873 2.9478 1.6735
1.3461 4.5653 6.5080
2.3592 4.7259 5.7646
```

Main lines, low angle first (5 to 70 degrees two-theta):
h k l  two_theta  d_spacing  I/Imax
0 1 0  13.62  6.499  91
1 0 -1  22.55  3.943  52
1 0 1  24.05  3.700  69
0 2 0  27.45  3.250  100
1 0 2  31.63  2.828  57
0 0 3  33.90  2.644  49
-1 1 2  34.80  2.578  52
1 -2 2  37.33  2.409  66